The following is a calculated powder diffractogram of Sc3TcO. It was derived from a GGA-PBE-relaxed structure, using Cu Kα X-rays.
Kinematic intensities with the Lorentz-polarization factor, no thermal factor.

Cell and atoms:
a b c (Å): 3.3492 7.4638 7.6901
angles (deg): 90.00 102.70 90.00
Atoms (fractional coordinates):
1 Sc 0.0128 0.2500 0.0252
2 Sc 0.3381 0.0341 0.6784
3 Sc 0.3381 0.4659 0.6784
4 Sc 0.6619 0.5341 0.3216
5 Sc 0.6619 0.9659 0.3216
6 Sc 0.9872 0.7500 0.9748
7 Tc 0.1887 0.2500 0.3732
8 Tc 0.8113 0.7500 0.6268
9 O 0.4328 0.2500 0.8666
10 O 0.5672 0.7500 0.1334

Principal peaks in the range 5° ≤ 2θ ≤ 70°, in order of rising 2θ:
11.80°, rel. 43; 16.76°, rel. 33; 26.60°, rel. 40; 29.84°, rel. 100; 35.91°, rel. 37; 36.54°, rel. 50; 40.39°, rel. 47; 47.42°, rel. 52